No. 1
For Rb4Ac3InTe8, a cell relaxed with GGA-PBE gives the computed XRD peak list in this record (Cu Kα (weighted mean of Kα1 and Kα2)).
No peak broadening, texture or thermal motion is included.

Peak list (10 most intense, 2θ = 10–80°, low angle first)
two_theta, d_spacing, Rel. int.
10.2, 8.634, 28.6
25.5, 3.490, 100.0
32.4, 2.760, 12.9
35.2, 2.551, 36.3
37.6, 2.392, 37.5
46.0, 1.973, 19.7
52.4, 1.745, 11.3
57.5, 1.603, 12.8
60.9, 1.522, 16.6
66.3, 1.410, 10.8

Structure:
```
data_Rb4Ac3InTe8
_chemical_formula_sum 'Rb12 Ac9 In3 Te24'
_cell_length_a 9.5688
_cell_length_b 9.5688
_cell_length_c 25.9008
_cell_angle_alpha 90.00
_cell_angle_beta 90.00
_cell_angle_gamma 120.00
_symmetry_space_group_name_H-M 'R -3 m'
_symmetry_Int_Tables_number 166
_symmetry_space_group_name_Hall '-R 3 2"'
loop_
_atom_site_label
_atom_site_fract_x
_atom_site_fract_y
_atom_site_fract_z
_atom_site_occupancy
Rb1 0.0000 0.0000 0.0000 1
Rb2 0.0000 0.5000 0.0000 1
Ac1 0.0000 0.5000 0.5000 1
In1 0.0000 0.0000 0.5000 1
Te1 0.0000 0.0000 0.2385 1
Te2 0.0198 0.5099 0.2352 1
```

No. 2
For Ac3In3Rh2, a cell relaxed with GGA-PBE gives the computed XRD peak list in this record (Cu Kα (weighted mean of Kα1 and Kα2)).
No peak broadening, texture or thermal motion is included.

Peak list (10 most intense, 2θ = 10–80°, low angle first)
two_theta, d_spacing, Rel. int.
29.7, 3.009, 100.0
30.5, 2.933, 50.7
30.9, 2.891, 16.0
31.6, 2.827, 29.4
33.7, 2.659, 17.2
34.4, 2.606, 46.0
37.2, 2.416, 14.7
37.8, 2.379, 18.0
39.4, 2.287, 36.3
51.4, 1.778, 15.4

Structure:
```
data_Ac3In3Rh2
_chemical_formula_sum 'Ac12 In12 Rh8'
_cell_length_a 4.5737
_cell_length_b 11.4680
_cell_length_c 17.0482
_cell_angle_alpha 90.00
_cell_angle_beta 90.00
_cell_angle_gamma 90.00
_symmetry_space_group_name_H-M 'C m c m'
_symmetry_Int_Tables_number 63
_symmetry_space_group_name_Hall '-C 2c 2'
loop_
_atom_site_label
_atom_site_fract_x
_atom_site_fract_y
_atom_site_fract_z
_atom_site_occupancy
Ac1 0.0000 0.0545 0.1089 1
Ac2 0.0000 0.3344 0.2500 1
In1 0.0000 0.3399 0.0323 1
In2 0.0000 0.3723 0.7500 1
Rh1 0.0000 0.2225 0.6172 1
```

No. 3
For Ac2In12Rh7, a cell relaxed with GGA-PBE gives the computed XRD peak list in this record (Cu Kα (weighted mean of Kα1 and Kα2)).
No peak broadening, texture or thermal motion is included.

Peak list (10 most intense, 2θ = 10–80°, low angle first)
two_theta, d_spacing, Rel. int.
32.4, 2.767, 100.0
32.9, 2.724, 16.7
34.3, 2.617, 9.0
38.9, 2.314, 20.5
40.1, 2.247, 25.7
41.2, 2.193, 27.7
44.0, 2.059, 17.7
46.8, 1.941, 11.8
61.8, 1.501, 12.7
69.5, 1.353, 10.8

Structure:
```
data_Ac2In12Rh7
_chemical_formula_sum 'Ac2 In12 Rh7'
_cell_length_a 10.8955
_cell_length_b 10.8955
_cell_length_c 4.3853
_cell_angle_alpha 90.00
_cell_angle_beta 90.00
_cell_angle_gamma 120.00
_symmetry_space_group_name_H-M 'P -6'
_symmetry_Int_Tables_number 174
_symmetry_space_group_name_Hall 'P -6'
loop_
_atom_site_label
_atom_site_fract_x
_atom_site_fract_y
_atom_site_fract_z
_atom_site_occupancy
Ac1 0.0000 0.0000 0.0000 1
Ac2 0.3333 0.6667 0.5000 1
In1 0.0299 0.7457 0.5000 1
In2 0.1383 0.3947 0.0000 1
In3 0.3812 0.1873 0.0000 1
In4 0.5411 0.1236 0.5000 1
Rh1 0.0348 0.5773 0.0000 1
Rh2 0.2460 0.0193 0.5000 1
Rh3 0.6667 0.3333 0.0000 1
```

No. 4
For Ac6InRh, a cell relaxed with GGA-PBE gives the computed XRD peak list in this record (Cu Kα (weighted mean of Kα1 and Kα2)).
No peak broadening, texture or thermal motion is included.

Peak list (10 most intense, 2θ = 10–80°, low angle first)
two_theta, d_spacing, Rel. int.
20.2, 4.386, 23.5
22.4, 3.974, 33.8
25.7, 3.467, 21.1
26.0, 3.426, 34.4
26.6, 3.347, 36.5
27.4, 3.251, 28.7
27.7, 3.221, 49.2
27.9, 3.199, 29.5
30.2, 2.958, 100.0
33.1, 2.705, 36.1

Structure:
```
data_Ac6InRh
_chemical_formula_sum 'Ac12 In2 Rh2'
_cell_length_a 8.4692
_cell_length_b 11.3029
_cell_length_c 7.1350
_cell_angle_alpha 90.00
_cell_angle_beta 103.65
_cell_angle_gamma 90.00
_symmetry_space_group_name_H-M 'C 1 2/m 1'
_symmetry_Int_Tables_number 12
_symmetry_space_group_name_Hall '-C 2y'
loop_
_atom_site_label
_atom_site_fract_x
_atom_site_fract_y
_atom_site_fract_z
_atom_site_occupancy
Ac1 0.1326 0.1815 0.2820 1
Ac2 0.2155 0.5000 0.1532 1
In1 0.0000 0.5000 0.5000 1
Rh1 0.0000 0.0000 0.0000 1
```

No. 5
For AcInRh3, a cell relaxed with GGA-PBE gives the computed XRD peak list in this record (Cu Kα (weighted mean of Kα1 and Kα2)).
No peak broadening, texture or thermal motion is included.

Peak list (10 most intense, 2θ = 10–80°, low angle first)
two_theta, d_spacing, Rel. int.
28.1, 3.174, 21.3
32.0, 2.800, 74.2
32.8, 2.733, 100.0
40.2, 2.245, 66.5
44.2, 2.051, 23.5
46.9, 1.939, 25.6
52.2, 1.751, 37.5
58.1, 1.587, 22.4
63.4, 1.467, 20.8
68.3, 1.372, 24.0

Structure:
```
data_AcInRh3
_chemical_formula_sum 'Ac2 In2 Rh6'
_cell_length_a 4.4890
_cell_length_b 4.4890
_cell_length_c 10.7473
_cell_angle_alpha 90.00
_cell_angle_beta 90.00
_cell_angle_gamma 90.00
_symmetry_space_group_name_H-M 'I 4 m m'
_symmetry_Int_Tables_number 107
_symmetry_space_group_name_Hall 'I 4 -2'
loop_
_atom_site_label
_atom_site_fract_x
_atom_site_fract_y
_atom_site_fract_z
_atom_site_occupancy
Ac1 0.0000 0.0000 0.0000 1
In1 0.0000 0.0000 0.6485 1
Rh1 0.0000 0.0000 0.4057 1
Rh2 0.0000 0.5000 0.2865 1
```

No. 6
For Ac3InRh3, a cell relaxed with GGA-PBE gives the computed XRD peak list in this record (Cu Kα (weighted mean of Kα1 and Kα2)).
No peak broadening, texture or thermal motion is included.

Peak list (10 most intense, 2θ = 10–80°, low angle first)
two_theta, d_spacing, Rel. int.
19.6, 4.524, 44.5
24.8, 3.596, 29.6
27.3, 3.269, 23.8
30.2, 2.963, 100.0
34.3, 2.612, 72.6
36.2, 2.480, 19.3
43.2, 2.095, 32.4
46.3, 1.960, 64.9
62.7, 1.481, 22.6
71.2, 1.325, 26.3

Structure:
```
data_Ac3InRh3
_chemical_formula_sum 'Ac6 In2 Rh6'
_cell_length_a 9.0475
_cell_length_b 9.0475
_cell_length_c 5.9290
_cell_angle_alpha 90.00
_cell_angle_beta 90.00
_cell_angle_gamma 120.00
_symmetry_space_group_name_H-M 'P 63/m'
_symmetry_Int_Tables_number 176
_symmetry_space_group_name_Hall '-P 6c'
loop_
_atom_site_label
_atom_site_fract_x
_atom_site_fract_y
_atom_site_fract_z
_atom_site_occupancy
Ac1 0.0579 0.7043 0.2500 1
In1 0.3333 0.6667 0.7500 1
Rh1 0.0481 0.6824 0.7500 1
```

No. 7
For Ac2In6Rh, a cell relaxed with GGA-PBE gives the computed XRD peak list in this record (Cu Kα (weighted mean of Kα1 and Kα2)).
No peak broadening, texture or thermal motion is included.

Peak list (10 most intense, 2θ = 10–80°, low angle first)
two_theta, d_spacing, Rel. int.
25.5, 3.489, 12.9
29.5, 3.027, 20.2
29.8, 2.998, 17.3
30.7, 2.913, 100.0
32.9, 2.724, 13.9
35.3, 2.545, 24.7
37.3, 2.413, 21.0
38.3, 2.352, 27.8
44.6, 2.032, 17.9
60.2, 1.538, 14.6

Structure:
```
data_Ac2In6Rh
_chemical_formula_sum 'Ac4 In12 Rh2'
_cell_length_a 4.0631
_cell_length_b 4.7050
_cell_length_c 27.2350
_cell_angle_alpha 90.00
_cell_angle_beta 90.00
_cell_angle_gamma 90.00
_symmetry_space_group_name_H-M 'A m m 2'
_symmetry_Int_Tables_number 38
_symmetry_space_group_name_Hall 'A 2 -2'
loop_
_atom_site_label
_atom_site_fract_x
_atom_site_fract_y
_atom_site_fract_z
_atom_site_occupancy
Ac1 0.0000 0.0000 0.0000 1
Ac2 0.0000 0.0000 0.3196 1
In1 0.0000 0.0000 0.6082 1
In2 0.0000 0.0000 0.7190 1
In3 0.5000 0.0000 0.1042 1
In4 0.5000 0.0000 0.2112 1
In5 0.5000 0.0000 0.4366 1
In6 0.5000 0.0000 0.8751 1
Rh1 0.5000 0.0000 0.5372 1
```

No. 8
For AcIn12Rh6, a cell relaxed with GGA-PBE gives the computed XRD peak list in this record (Cu Kα (weighted mean of Kα1 and Kα2)).
No peak broadening, texture or thermal motion is included.

Peak list (10 most intense, 2θ = 10–80°, low angle first)
two_theta, d_spacing, Rel. int.
23.9, 3.727, 30.4
31.5, 2.841, 100.0
32.2, 2.780, 59.1
35.7, 2.513, 25.1
37.7, 2.385, 35.3
38.3, 2.349, 42.7
41.4, 2.181, 23.5
42.2, 2.139, 40.8
46.5, 1.953, 52.3
58.3, 1.581, 36.7

Structure:
```
data_AcIn12Rh6
_chemical_formula_sum 'Ac3 In36 Rh18'
_cell_length_a 12.4195
_cell_length_b 12.4195
_cell_length_c 9.3272
_cell_angle_alpha 90.00
_cell_angle_beta 90.00
_cell_angle_gamma 120.00
_symmetry_space_group_name_H-M 'R -3 m'
_symmetry_Int_Tables_number 166
_symmetry_space_group_name_Hall '-R 3 2"'
loop_
_atom_site_label
_atom_site_fract_x
_atom_site_fract_y
_atom_site_fract_z
_atom_site_occupancy
Ac1 0.0000 0.0000 0.0000 1
In1 0.0000 0.3806 0.5000 1
In2 0.0878 0.1756 0.3297 1
Rh1 0.0492 0.5246 0.2568 1
```

No. 9
For Ac2In2Rh, a cell relaxed with GGA-PBE gives the computed XRD peak list in this record (Cu Kα (weighted mean of Kα1 and Kα2)).
No peak broadening, texture or thermal motion is included.

Peak list (10 most intense, 2θ = 10–80°, low angle first)
two_theta, d_spacing, Rel. int.
20.8, 4.271, 29.8
26.4, 3.376, 48.2
28.3, 3.157, 23.9
33.3, 2.693, 100.0
36.3, 2.478, 56.9
44.2, 2.049, 16.3
46.6, 1.949, 25.0
52.2, 1.752, 20.1
63.3, 1.469, 31.1
70.8, 1.331, 17.9

Structure:
```
data_Ac2In2Rh
_chemical_formula_sum 'Ac8 In8 Rh4'
_cell_length_a 4.9553
_cell_length_b 4.9553
_cell_length_c 25.2581
_cell_angle_alpha 90.00
_cell_angle_beta 90.00
_cell_angle_gamma 90.00
_symmetry_space_group_name_H-M 'I 41/a m d'
_symmetry_Int_Tables_number 141
loop_
_symmetry_equiv_pos_as_xyz
'x,y,z'
'-x,-y,-z'
'-y+1/4,x+3/4,z+1/4'
'y+1/4,-x+3/4,-z+1/4'
'-x+1/2,-y,z+1/2'
'x+1/2,y,-z+1/2'
'y+1/4,-x+1/4,z+3/4'
'-y+1/4,x+1/4,-z+3/4'
'x,-y,-z'
'-x,y,z'
'-y+1/4,-x+1/4,-z+3/4'
'y+1/4,x+1/4,z+3/4'
'-x+1/2,y,-z+1/2'
'x+1/2,-y,z+1/2'
'y+1/4,x+3/4,-z+1/4'
'-y+1/4,-x+3/4,z+1/4'
'x+1/2,y+1/2,z+1/2'
'-x+1/2,-y+1/2,-z+1/2'
'-y+3/4,x+1/4,z+3/4'
'y+3/4,-x+1/4,-z+3/4'
'-x,-y+1/2,z'
'x,y+1/2,-z'
'y+3/4,-x+3/4,z+1/4'
'-y+3/4,x+3/4,-z+1/4'
'x+1/2,-y+1/2,-z+1/2'
'-x+1/2,y+1/2,z+1/2'
'-y+3/4,-x+3/4,-z+1/4'
'y+3/4,x+3/4,z+1/4'
'-x,y+1/2,-z'
'x,-y+1/2,z'
'y+3/4,x+1/4,-z+3/4'
'-y+3/4,-x+1/4,z+3/4'
loop_
_atom_site_label
_atom_site_fract_x
_atom_site_fract_y
_atom_site_fract_z
_atom_site_occupancy
Ac1 0.0000 0.2500 0.0617 1
In1 0.0000 0.2500 0.2009 1
Rh1 0.0000 0.2500 0.3750 1
```

No. 10
For Ac2In5Rh4, a cell relaxed with GGA-PBE gives the computed XRD peak list in this record (Cu Kα (weighted mean of Kα1 and Kα2)).
No peak broadening, texture or thermal motion is included.

Peak list (10 most intense, 2θ = 10–80°, low angle first)
two_theta, d_spacing, Rel. int.
23.8, 3.739, 35.6
27.4, 3.258, 47.2
29.4, 3.042, 34.1
33.3, 2.688, 100.0
34.7, 2.587, 56.6
37.8, 2.379, 67.5
44.7, 2.029, 22.2
49.1, 1.856, 20.5
56.0, 1.643, 22.9
59.7, 1.548, 22.8

Structure:
```
data_Ac2In5Rh4
_chemical_formula_sum 'Ac8 In20 Rh16'
_cell_length_a 5.8739
_cell_length_b 10.9329
_cell_length_c 16.2288
_cell_angle_alpha 90.00
_cell_angle_beta 90.00
_cell_angle_gamma 90.00
_symmetry_space_group_name_H-M 'F m m m'
_symmetry_Int_Tables_number 69
_symmetry_space_group_name_Hall '-F 2 2'
loop_
_atom_site_label
_atom_site_fract_x
_atom_site_fract_y
_atom_site_fract_z
_atom_site_occupancy
Ac1 0.0000 0.0000 0.1478 1
In1 0.0000 0.0000 0.5000 1
In2 0.2500 0.2500 0.0000 1
In3 0.2500 0.2500 0.2500 1
Rh1 0.0000 0.1437 0.3697 1
```

No. 11
For AcIn6Rh4, a cell relaxed with GGA-PBE gives the computed XRD peak list in this record (Cu Kα (weighted mean of Kα1 and Kα2)).
No peak broadening, texture or thermal motion is included.

Peak list (10 most intense, 2θ = 10–80°, low angle first)
two_theta, d_spacing, Rel. int.
29.5, 3.030, 38.0
29.8, 2.995, 100.0
31.1, 2.879, 82.7
36.2, 2.480, 57.5
39.3, 2.293, 82.2
39.6, 2.278, 76.2
40.1, 2.246, 63.0
51.7, 1.767, 33.3
61.0, 1.518, 33.1
70.8, 1.332, 31.5

Structure:
```
data_AcIn6Rh4
_chemical_formula_sum 'Ac2 In12 Rh8'
_cell_length_a 7.0150
_cell_length_b 7.0150
_cell_length_c 10.0779
_cell_angle_alpha 90.00
_cell_angle_beta 90.00
_cell_angle_gamma 90.00
_symmetry_space_group_name_H-M 'I -4 2 m'
_symmetry_Int_Tables_number 121
_symmetry_space_group_name_Hall 'I -4 2'
loop_
_atom_site_label
_atom_site_fract_x
_atom_site_fract_y
_atom_site_fract_z
_atom_site_occupancy
Ac1 0.0000 0.0000 0.0000 1
In1 0.0000 0.5000 0.0000 1
In2 0.1782 0.1782 0.7032 1
Rh1 0.1763 0.1763 0.4259 1
```

No. 12
For Ac2InSb3Rh6, a cell relaxed with GGA-PBE gives the computed XRD peak list in this record (Cu Kα (weighted mean of Kα1 and Kα2)).
No peak broadening, texture or thermal motion is included.

Peak list (10 most intense, 2θ = 10–80°, low angle first)
two_theta, d_spacing, Rel. int.
26.6, 3.346, 100.0
29.9, 2.991, 40.1
30.4, 2.943, 50.0
34.2, 2.624, 35.6
42.8, 2.115, 72.9
44.9, 2.018, 90.1
51.1, 1.788, 34.2
54.9, 1.673, 21.3
62.1, 1.496, 23.9
79.8, 1.202, 33.2

Structure:
```
data_Ac2InSb3Rh6
_chemical_formula_sum 'Ac2 In1 Sb3 Rh6'
_cell_length_a 4.2300
_cell_length_b 4.2300
_cell_length_c 16.4063
_cell_angle_alpha 90.00
_cell_angle_beta 90.00
_cell_angle_gamma 90.00
_symmetry_space_group_name_H-M 'P 4/m m m'
_symmetry_Int_Tables_number 123
_symmetry_space_group_name_Hall '-P 4 2'
loop_
_atom_site_label
_atom_site_fract_x
_atom_site_fract_y
_atom_site_fract_z
_atom_site_occupancy
Ac1 0.0000 0.0000 0.1767 1
In1 0.0000 0.0000 0.5000 1
Sb1 0.5000 0.5000 0.0000 1
Sb2 0.5000 0.5000 0.3107 1
Rh1 0.0000 0.5000 0.3977 1
Rh2 0.5000 0.5000 0.1536 1
```

Repeat the twelfth record exactly.
For Ac2InSb3Rh6, a cell relaxed with GGA-PBE gives the computed XRD peak list in this record (Cu Kα (weighted mean of Kα1 and Kα2)).
No peak broadening, texture or thermal motion is included.

Peak list (10 most intense, 2θ = 10–80°, low angle first)
two_theta, d_spacing, Rel. int.
26.6, 3.346, 100.0
29.9, 2.991, 40.1
30.4, 2.943, 50.0
34.2, 2.624, 35.6
42.8, 2.115, 72.9
44.9, 2.018, 90.1
51.1, 1.788, 34.2
54.9, 1.673, 21.3
62.1, 1.496, 23.9
79.8, 1.202, 33.2

Structure:
```
data_Ac2InSb3Rh6
_chemical_formula_sum 'Ac2 In1 Sb3 Rh6'
_cell_length_a 4.2300
_cell_length_b 4.2300
_cell_length_c 16.4063
_cell_angle_alpha 90.00
_cell_angle_beta 90.00
_cell_angle_gamma 90.00
_symmetry_space_group_name_H-M 'P 4/m m m'
_symmetry_Int_Tables_number 123
_symmetry_space_group_name_Hall '-P 4 2'
loop_
_atom_site_label
_atom_site_fract_x
_atom_site_fract_y
_atom_site_fract_z
_atom_site_occupancy
Ac1 0.0000 0.0000 0.1767 1
In1 0.0000 0.0000 0.5000 1
Sb1 0.5000 0.5000 0.0000 1
Sb2 0.5000 0.5000 0.3107 1
Rh1 0.0000 0.5000 0.3977 1
Rh2 0.5000 0.5000 0.1536 1
```

What did the ninth record say?
For Ac2In2Rh, a cell relaxed with GGA-PBE gives the computed XRD peak list in this record (Cu Kα (weighted mean of Kα1 and Kα2)).
No peak broadening, texture or thermal motion is included.

Peak list (10 most intense, 2θ = 10–80°, low angle first)
two_theta, d_spacing, Rel. int.
20.8, 4.271, 29.8
26.4, 3.376, 48.2
28.3, 3.157, 23.9
33.3, 2.693, 100.0
36.3, 2.478, 56.9
44.2, 2.049, 16.3
46.6, 1.949, 25.0
52.2, 1.752, 20.1
63.3, 1.469, 31.1
70.8, 1.331, 17.9

Structure:
```
data_Ac2In2Rh
_chemical_formula_sum 'Ac8 In8 Rh4'
_cell_length_a 4.9553
_cell_length_b 4.9553
_cell_length_c 25.2581
_cell_angle_alpha 90.00
_cell_angle_beta 90.00
_cell_angle_gamma 90.00
_symmetry_space_group_name_H-M 'I 41/a m d'
_symmetry_Int_Tables_number 141
loop_
_symmetry_equiv_pos_as_xyz
'x,y,z'
'-x,-y,-z'
'-y+1/4,x+3/4,z+1/4'
'y+1/4,-x+3/4,-z+1/4'
'-x+1/2,-y,z+1/2'
'x+1/2,y,-z+1/2'
'y+1/4,-x+1/4,z+3/4'
'-y+1/4,x+1/4,-z+3/4'
'x,-y,-z'
'-x,y,z'
'-y+1/4,-x+1/4,-z+3/4'
'y+1/4,x+1/4,z+3/4'
'-x+1/2,y,-z+1/2'
'x+1/2,-y,z+1/2'
'y+1/4,x+3/4,-z+1/4'
'-y+1/4,-x+3/4,z+1/4'
'x+1/2,y+1/2,z+1/2'
'-x+1/2,-y+1/2,-z+1/2'
'-y+3/4,x+1/4,z+3/4'
'y+3/4,-x+1/4,-z+3/4'
'-x,-y+1/2,z'
'x,y+1/2,-z'
'y+3/4,-x+3/4,z+1/4'
'-y+3/4,x+3/4,-z+1/4'
'x+1/2,-y+1/2,-z+1/2'
'-x+1/2,y+1/2,z+1/2'
'-y+3/4,-x+3/4,-z+1/4'
'y+3/4,x+3/4,z+1/4'
'-x,y+1/2,-z'
'x,-y+1/2,z'
'y+3/4,x+1/4,-z+3/4'
'-y+3/4,-x+1/4,z+3/4'
loop_
_atom_site_label
_atom_site_fract_x
_atom_site_fract_y
_atom_site_fract_z
_atom_site_occupancy
Ac1 0.0000 0.2500 0.0617 1
In1 0.0000 0.2500 0.2009 1
Rh1 0.0000 0.2500 0.3750 1
```

Repeat the fourth record exactly.
For Ac6InRh, a cell relaxed with GGA-PBE gives the computed XRD peak list in this record (Cu Kα (weighted mean of Kα1 and Kα2)).
No peak broadening, texture or thermal motion is included.

Peak list (10 most intense, 2θ = 10–80°, low angle first)
two_theta, d_spacing, Rel. int.
20.2, 4.386, 23.5
22.4, 3.974, 33.8
25.7, 3.467, 21.1
26.0, 3.426, 34.4
26.6, 3.347, 36.5
27.4, 3.251, 28.7
27.7, 3.221, 49.2
27.9, 3.199, 29.5
30.2, 2.958, 100.0
33.1, 2.705, 36.1

Structure:
```
data_Ac6InRh
_chemical_formula_sum 'Ac12 In2 Rh2'
_cell_length_a 8.4692
_cell_length_b 11.3029
_cell_length_c 7.1350
_cell_angle_alpha 90.00
_cell_angle_beta 103.65
_cell_angle_gamma 90.00
_symmetry_space_group_name_H-M 'C 1 2/m 1'
_symmetry_Int_Tables_number 12
_symmetry_space_group_name_Hall '-C 2y'
loop_
_atom_site_label
_atom_site_fract_x
_atom_site_fract_y
_atom_site_fract_z
_atom_site_occupancy
Ac1 0.1326 0.1815 0.2820 1
Ac2 0.2155 0.5000 0.1532 1
In1 0.0000 0.5000 0.5000 1
Rh1 0.0000 0.0000 0.0000 1
```